Mg2AgSb: calculated powder X-ray diffraction pattern (Cu Kα), based on a DFT-relaxed cell (GGA-PBE, Alexandria).

Atomic structure:
Lattice parameters (Å, degrees): 5.6386 5.6386 5.6386 135.56 135.56 64.67
Atoms (fractional coordinates):
1 Mg 0.0000 0.0000 0.0000
2 Mg 0.7500 0.2500 0.5000
3 Ag 0.5000 0.5000 0.0000
4 Sb 0.2500 0.7500 0.5000

Most intense lines, 5° ≤ 2θ ≤ 70°, most intense first:
d (Å)	2θ (°)	I/Imax
2.548	35.22	100
3.893	22.84	51
2.132	42.39	24
1.589	58.05	19
2.382	37.76	17
1.405	66.54	15
1.870	48.69	13
1.635	56.26	8
1.508	61.50	8
1.740	52.60	5

=====

LiNdBr4: calculated powder X-ray diffraction pattern (Cu Kα), based on a DFT-relaxed cell (GGA-PBE, Alexandria).

Atomic structure:
Lattice parameters (Å, degrees): 8.1238 8.1238 7.1406 115.66 115.66 30.36
Atoms (fractional coordinates):
1 Li 0.0000 0.0000 0.0000
2 Nd 0.5000 0.5000 0.5000
3 Br 0.1179 0.1179 0.4522
4 Br 0.3950 0.3950 0.0537
5 Br 0.6050 0.6050 0.9463
6 Br 0.8821 0.8821 0.5478

Most intense lines, 5° ≤ 2θ ≤ 70°, most intense first:
d (Å)	2θ (°)	I/Imax
3.237	27.56	100
7.007	12.63	73
6.366	13.91	46
3.191	27.96	46
2.524	35.56	45
2.077	43.57	36
1.972	46.03	29
4.072	21.83	21
2.127	42.49	21
2.510	35.77	20

=====

Dy5ZrIn6: calculated powder X-ray diffraction pattern (Cu Kα), based on a DFT-relaxed cell (GGA-PBE, Alexandria).

Atomic structure:
Lattice parameters (Å, degrees): 8.8169 8.8169 5.5304 95.43 95.43 45.92
Atoms (fractional coordinates):
1 Dy 0.0000 0.0000 0.0000
2 Dy 0.1678 0.1678 0.6754
3 Dy 0.3324 0.3324 0.3200
4 Dy 0.6676 0.6676 0.6800
5 Dy 0.8322 0.8322 0.3246
6 Zr 0.5000 0.5000 0.0000
7 In 0.0934 0.5831 0.8246
8 In 0.2591 0.7409 0.5000
9 In 0.4169 0.9066 0.1754
10 In 0.5831 0.0934 0.8246
11 In 0.7409 0.2591 0.5000
12 In 0.9066 0.4169 0.1754

Most intense lines, 5° ≤ 2θ ≤ 70°, most intense first:
d (Å)	2θ (°)	I/Imax
2.694	33.26	100
2.428	37.03	37
1.619	56.89	21
1.449	64.28	14
1.446	64.42	14
2.172	41.59	13
1.720	53.26	6
1.714	53.47	6
1.348	69.75	6
1.345	69.93	5

=====

Ba3Fe2: calculated powder X-ray diffraction pattern (Cu Kα), based on a DFT-relaxed cell (GGA-PBE, Alexandria).

Atomic structure:
Lattice parameters (Å, degrees): 5.1173 5.1173 9.0530 90.00 90.00 120.00
Atoms (fractional coordinates):
1 Ba 0.0000 0.0000 0.0000
2 Ba 0.3333 0.6667 0.3060
3 Ba 0.6667 0.3333 0.6940
4 Fe 0.3333 0.6667 0.9581
5 Fe 0.6667 0.3333 0.0419

Most intense lines, 5° ≤ 2θ ≤ 70°, most intense first:
d (Å)	2θ (°)	I/Imax
3.980	22.34	100
2.559	35.07	85
3.167	28.18	83
1.952	46.54	56
9.053	9.77	56
3.018	29.60	33
1.990	45.58	22
2.494	36.01	21
1.571	58.78	21
2.152	41.98	19

=====

Fe4H3: calculated powder X-ray diffraction pattern (Cu Kα), based on a DFT-relaxed cell (GGA-PBE, Alexandria).

Atomic structure:
Lattice parameters (Å, degrees): 3.7251 3.7251 3.7251 90.00 90.00 90.00
Atoms (fractional coordinates):
1 Fe 0.0000 0.0000 0.0000
2 Fe 0.0000 0.5000 0.5000
3 Fe 0.5000 0.0000 0.5000
4 Fe 0.5000 0.5000 0.0000
5 H 0.0000 0.0000 0.5000
6 H 0.0000 0.5000 0.0000
7 H 0.5000 0.0000 0.0000

Most intense lines, 5° ≤ 2θ ≤ 70°, most intense first:
d (Å)	2θ (°)	I/Imax
2.151	42.01	100
1.863	48.90	49

=====

CaZnMo: calculated powder X-ray diffraction pattern (Cu Kα), based on a DFT-relaxed cell (GGA-PBE, Alexandria).

Atomic structure:
Lattice parameters (Å, degrees): 4.8935 4.8935 2.7997 90.00 90.00 120.00
Atoms (fractional coordinates):
1 Ca 0.0000 0.0000 0.0000
2 Zn 0.6667 0.3333 0.5000
3 Mo 0.3333 0.6667 0.5000

Most intense lines, 5° ≤ 2θ ≤ 70°, most intense first:
d (Å)	2θ (°)	I/Imax
2.447	36.73	100
2.336	38.54	64
1.842	49.47	31
1.390	67.35	23
1.690	54.29	22
4.238	20.96	21
2.800	31.97	18
1.413	66.15	16
1.400	66.83	5
2.119	42.67	3

=====

Which formula does entry 5 have?
Fe4H3